EuAl3B4O12: computed PXRD pattern (Cu Kα (λ = 1.5418 Å)), based on the PBE geometry in the Materials Project.

Largest 10 diffraction maxima, by intensity, 2θ from 10° to 80°:
| d (Å) | 2θ/deg | intensity |
| --- | --- | --- |
| 2.742 | 32.66 | 100 |
| 3.569 | 24.95 | 64 |
| 5.481 | 16.17 | 40 |
| 2.351 | 38.29 | 28 |
| 2.369 | 37.99 | 26 |
| 5.787 | 15.31 | 26 |
| 5.433 | 16.32 | 25 |
| 2.841 | 31.49 | 23 |
| 1.703 | 53.82 | 23 |
| 2.714 | 33.00 | 21 |

Cell and atoms:
```
60
Lattice="3.6690 -4.7070 0.0000 3.6690 4.7070 0.0000 -0.3157 0.0000 16.4408" Properties=species:S:1:pos:R:3 pbc="T T T"
Eu 0.0000 0.0000 0.0000
Eu 1.0357 0.6657 10.9894
Eu 5.9867 0.6657 5.4514
Al 3.3494 2.6945 3.0514
Al 2.3407 1.1745 5.4961
Al 3.6730 2.6945 13.3894
Al 2.0159 -1.9570 8.5308
Al 4.6817 1.1745 10.9447
Al 3.6690 -0.5121 0.0000
Al 2.6783 -2.0226 2.4239
Al 4.3441 -2.0226 14.0169
Al 5.0065 -1.9570 7.9100
B 2.5000 3.2823 10.6416
B 2.1872 2.0810 0.3070
B 1.1753 0.6154 2.8005
B 4.5224 3.2823 5.7992
B 2.1691 0.0641 13.7744
B 3.5112 0.6594 8.2204
B 4.8351 2.0810 16.1338
B 3.1962 -1.4278 11.2749
B 4.8533 0.0641 2.6664
B 3.8262 -1.4278 5.1659
B 5.8471 0.6154 13.6403
B 3.5112 -4.5973 8.2204
O 2.9331 2.7617 1.2334
O 0.9468 -0.0684 5.6135
O 2.1080 1.3137 3.5528
O 2.1859 1.4595 13.6890
O 0.8487 -0.5376 8.8952
O 3.3786 2.5602 11.4568
O 2.6148 1.3551 7.4107
O 2.2793 0.7281 0.1019
O 3.6438 2.5602 4.9840
O 1.1913 -0.7815 2.7377
O 1.2006 -0.5878 13.0440
O 4.0893 2.7617 15.2074
O 1.5836 -2.1279 6.7228
O 4.4075 1.3551 9.0301
O 3.3053 -0.0761 11.0845
O 4.8365 1.4595 2.7518
O 2.3735 -1.9000 0.4917
O 3.1116 -0.6348 14.5165
O 3.7171 -0.0761 5.3562
O 4.9144 1.3137 12.8880
O 2.3020 -2.1367 10.4682
O 3.5112 -0.7359 8.2204
O 3.9108 -0.6348 1.9242
O 4.7431 0.7281 16.3389
O 3.1031 -2.1205 4.2326
O 3.9193 -2.1205 12.2082
O 3.1390 -3.4425 14.3872
O 3.5112 -3.1979 8.2204
O 6.0756 -0.0684 10.8273
O 5.8218 -0.5878 3.3968
O 4.6489 -1.9000 15.9491
O 4.7204 -2.1367 5.9726
O 3.8833 -3.4425 2.0536
O 5.8311 -0.7815 13.7031
O 6.1737 -0.5376 7.5456
O 5.4388 -2.1279 9.7180
```

EuAl3B4O12: computed PXRD pattern (Cu Kα (λ = 1.5418 Å)), based on the PBE geometry in the Materials Project.

Largest 10 diffraction maxima, by intensity, 2θ from 10° to 80°:
| d (Å) | 2θ/deg | intensity |
| --- | --- | --- |
| 2.743 | 32.65 | 100 |
| 3.566 | 24.97 | 64 |
| 5.680 | 15.60 | 59 |
| 5.479 | 16.18 | 34 |
| 4.385 | 20.25 | 34 |
| 2.301 | 39.14 | 28 |
| 2.369 | 37.99 | 24 |
| 1.690 | 54.27 | 20 |
| 3.612 | 24.65 | 18 |
| 2.886 | 30.98 | 17 |

Cell and atoms:
```
40
Lattice="3.6692 -4.7054 0.0000 3.6692 4.7054 0.0000 -2.7116 0.0000 10.9549" Properties=species:S:1:pos:R:3 pbc="T T T"
Eu 1.6355 4.3628 8.2162
Eu 2.9913 -4.3628 2.7387
Al 1.9844 2.3550 5.1670
Al 3.9983 2.3550 0.3105
Al 2.9913 0.8312 2.7387
Al 1.6355 -0.8312 8.2162
Al 0.6286 -2.3550 10.6444
Al 2.6425 -2.3550 5.7879
B 0.1445 1.7492 8.5212
B 1.8302 0.2709 0.0587
B 0.4744 -0.2709 5.5361
B 1.5003 -1.7492 3.0438
B 3.1265 1.7492 7.9111
B 4.1525 0.2709 5.4188
B 2.7967 -0.2709 10.8962
B 4.4823 -1.7492 2.4337
O 2.8010 3.7740 0.6708
O 1.6983 2.2261 3.2324
O 0.4869 1.1232 5.4471
O 0.8798 2.4253 9.4560
O 3.1816 3.7740 4.8066
O 0.2438 0.4003 8.3096
O 2.7696 0.9618 0.8107
O 2.3913 2.4253 6.9763
O 1.5996 -0.4003 2.8322
O -0.8689 -1.1232 10.9245
O 4.2844 2.2261 2.2451
O 3.2131 0.9618 4.6668
O 1.4138 -0.9618 6.2881
O 0.3425 -2.2261 8.7098
O 5.4958 1.1232 0.0304
O 3.0273 0.4003 8.1227
O 2.2356 -2.4253 3.9786
O 1.8573 -0.9618 10.1442
O 4.3831 -0.4003 2.6452
O 1.4453 -3.7740 6.1482
O 3.7471 -2.4253 1.4989
O 4.1400 -1.1232 5.5078
O 2.9286 -2.2261 7.7225
O 1.8258 -3.7740 10.2841
```